Structure and computed X-ray diffraction stick pattern of Ho3In3Ni2Ag (a structure optimized by DFT (GGA-PBE); CuKα).
Lines closer than 0.1° are merged.

Largest 10 diffraction maxima, in order of falling intensity, 2θ from 5° to 70°:
2θ = 33.20°, I 100.0, hkl 1 1 1; 2θ = 35.99°, I 81.8, hkl 2 0 1; 2θ = 36.29°, I 40.1, hkl 2 1 0; 2θ = 41.36°, I 33.4, hkl 3 0 0; 2θ = 66.83°, I 28.2, hkl 3 2 1; 2θ = 47.19°, I 20.9, hkl 0 0 2; 2θ = 55.96°, I 18.0, hkl 3 1 1; 2θ = 60.94°, I 17.5, hkl 2 1 2; 2θ = 64.52°, I 17.1, hkl 3 0 2; 2θ = 50.22°, I 17.0, hkl 3 1 0

Atomic structure:
```
Ho3In3Ni2Ag
1.0
7.5630 0.0000 0.0000
-3.7815 6.5497 0.0000
0.0000 0.0000 3.8523
Ho In Ni Ag
3 3 2 1
Cartesian
-2.2252 3.8541 0.0000
1.5563 2.6956 0.0000
4.4503 0.0000 0.0000
-1.0316 1.7867 1.9261
2.0631 0.0000 1.9261
2.7499 4.7630 1.9261
0.0000 4.3665 1.9261
3.7815 2.1832 1.9261
0.0000 0.0000 0.0000
```